Entry 1:
Computed powder XRD pattern
Compound: CsLiB6O10
Radiation: Cu Kα (weighted mean of Kα1 and Kα2)
Structure: a structure optimized by DFT (PBE)
Neutral-atom scattering factors, no anomalous dispersion.

Structural model:
```
CsLiB6O10
1.0
-5.264 5.264 4.701
5.264 -5.264 4.701
5.264 5.264 -4.701
Cs Li B O
2 2 12 20
Direct
0.000 0.000 0.000
0.750 0.250 0.500
0.250 0.750 0.500
0.500 0.500 0.000
0.039 0.919 0.579
0.081 0.659 0.120
0.211 0.591 0.921
0.341 0.461 0.421
0.355 0.625 0.230
0.375 0.605 0.730
0.395 0.125 0.770
0.409 0.331 0.620
0.539 0.961 0.880
0.669 0.289 0.079
0.711 0.789 0.380
0.875 0.645 0.270
0.033 0.776 0.456
0.078 0.625 0.953
0.198 0.059 0.738
0.209 0.571 0.762
0.224 0.680 0.256
0.320 0.577 0.544
0.321 0.459 0.262
0.327 0.570 0.044
0.375 0.328 0.453
0.423 0.967 0.744
0.429 0.191 0.639
0.430 0.474 0.756
0.526 0.283 0.956
0.541 0.802 0.861
0.552 0.791 0.361
0.672 0.125 0.047
0.717 0.673 0.244
0.809 0.448 0.238
0.875 0.922 0.547
0.941 0.679 0.139
```

Most intense lines, 2θ from 15° to 90°, by angle:
- 21.1°, rel. 100
- 22.4°, rel. 68
- 32.1°, rel. 20
- 33.0°, rel. 34
- 34.4°, rel. 25
- 36.5°, rel. 16
- 41.1°, rel. 16
- 52.4°, rel. 15
- 55.2°, rel. 16
- 65.8°, rel. 19

Entry 2:
Computed powder XRD pattern
Compound: Cs2Li5B7O14
Radiation: Cu Kα (weighted mean of Kα1 and Kα2)
Structure: a structure optimized by DFT (PBE)
Neutral-atom scattering factors, no anomalous dispersion.

Structural model:
```
Cs2Li5B7O14
1.0
21.616 0.000 0.000
0.000 6.915 2.236
0.000 -6.915 2.236
Cs Li B O
4 10 14 28
Direct
0.153 0.218 0.782
0.347 0.218 0.782
0.653 0.782 0.218
0.847 0.782 0.218
0.007 0.056 0.886
0.062 0.461 0.483
0.250 0.861 0.131
0.438 0.461 0.483
0.493 0.056 0.886
0.507 0.886 0.056
0.562 0.483 0.461
0.750 0.131 0.861
0.938 0.483 0.461
0.993 0.886 0.056
0.004 0.693 0.294
0.128 0.952 0.045
0.192 0.464 0.532
0.250 0.623 0.373
0.308 0.464 0.532
0.372 0.952 0.045
0.496 0.693 0.294
0.504 0.294 0.693
0.628 0.045 0.952
0.692 0.532 0.464
0.750 0.373 0.623
0.808 0.532 0.464
0.872 0.045 0.952
0.996 0.294 0.693
0.003 0.026 0.590
0.012 0.511 0.292
0.072 0.892 0.921
0.138 0.242 0.368
0.178 0.741 0.879
0.194 0.572 0.425
0.250 0.321 0.477
0.250 0.718 0.273
0.306 0.572 0.425
0.322 0.741 0.879
0.362 0.242 0.368
0.428 0.892 0.921
0.488 0.511 0.292
0.497 0.026 0.590
0.503 0.590 0.026
0.512 0.292 0.511
0.572 0.921 0.892
0.638 0.368 0.242
0.678 0.879 0.741
0.694 0.425 0.572
0.750 0.273 0.718
0.750 0.477 0.321
0.806 0.425 0.572
0.822 0.879 0.741
0.862 0.368 0.242
0.928 0.921 0.892
0.988 0.292 0.511
0.997 0.590 0.026
```

Most intense lines, 2θ from 15° to 90°, by angle:
- 21.3°, rel. 82
- 24.7°, rel. 50
- 26.1°, rel. 51
- 27.9°, rel. 36
- 28.1°, rel. 55
- 29.5°, rel. 100
- 33.2°, rel. 25
- 34.8°, rel. 45
- 38.3°, rel. 23
- 43.8°, rel. 21

Entry 3:
Computed powder XRD pattern
Compound: CsMg6B
Radiation: Cu Kα (weighted mean of Kα1 and Kα2)
Structure: a structure optimized by DFT (PBE)
Neutral-atom scattering factors, no anomalous dispersion.

Structural model:
```
CsMg6B
1.0
3.240 0.000 0.000
0.000 8.736 0.000
0.000 0.000 14.763
Cs Mg B
2 12 2
Direct
0.000 0.000 0.000
0.000 0.500 0.500
0.000 0.000 0.548
0.000 0.199 0.202
0.000 0.301 0.702
0.000 0.500 0.048
0.000 0.699 0.702
0.000 0.801 0.202
0.500 0.000 0.749
0.500 0.164 0.374
0.500 0.336 0.874
0.500 0.500 0.249
0.500 0.664 0.874
0.500 0.836 0.374
0.500 0.000 0.237
0.500 0.500 0.737
```

Most intense lines, 2θ from 15° to 90°, by angle:
- 20.3°, rel. 33
- 20.7°, rel. 57
- 23.7°, rel. 68
- 24.1°, rel. 29
- 30.1°, rel. 100
- 31.3°, rel. 39
- 31.7°, rel. 51
- 32.0°, rel. 42
- 36.6°, rel. 92
- 45.8°, rel. 34

Entry 4:
Computed powder XRD pattern
Compound: CsMg6B
Radiation: Cu Kα (weighted mean of Kα1 and Kα2)
Structure: a structure optimized by DFT (PBE)
Neutral-atom scattering factors, no anomalous dispersion.

Structural model:
```
CsMg6B
1.0
3.488 0.000 0.000
0.000 9.494 0.000
0.000 0.000 14.086
Cs Mg B
2 12 2
Direct
0.000 0.000 0.000
0.000 0.500 0.500
0.000 0.233 0.236
0.000 0.267 0.736
0.000 0.733 0.736
0.000 0.767 0.236
0.500 0.000 0.353
0.500 0.000 0.755
0.500 0.143 0.568
0.500 0.357 0.068
0.500 0.500 0.255
0.500 0.500 0.853
0.500 0.643 0.068
0.500 0.857 0.568
0.000 0.000 0.646
0.000 0.500 0.146
```

Most intense lines, 2θ from 15° to 90°, by angle:
- 18.7°, rel. 39
- 21.1°, rel. 78
- 22.6°, rel. 59
- 25.3°, rel. 34
- 28.0°, rel. 100
- 28.9°, rel. 36
- 33.4°, rel. 33
- 34.2°, rel. 40
- 34.4°, rel. 97
- 50.7°, rel. 34

Entry 5:
Computed powder XRD pattern
Compound: CsMg6BO7
Radiation: Cu Kα (weighted mean of Kα1 and Kα2)
Structure: a structure optimized by DFT (PBE)
Neutral-atom scattering factors, no anomalous dispersion.

Structural model:
```
CsMg6BO7
1.0
2.991 -3.046 0.000
2.991 3.046 0.000
-0.388 0.000 12.193
Cs Mg B O
1 6 1 7
Direct
0.000 0.000 0.000
0.020 0.500 0.691
0.488 0.984 0.326
0.499 0.499 0.501
0.500 0.020 0.691
0.984 0.488 0.326
0.996 0.996 0.511
0.610 0.610 0.813
0.003 0.003 0.671
0.464 0.863 0.849
0.486 0.486 0.326
0.497 0.997 0.501
0.507 0.507 0.692
0.863 0.464 0.849
0.997 0.497 0.501
```

Most intense lines, 2θ from 15° to 90°, by angle:
- 20.8°, rel. 35
- 21.9°, rel. 100
- 22.2°, rel. 43
- 25.2°, rel. 63
- 25.8°, rel. 42
- 29.3°, rel. 25
- 32.9°, rel. 54
- 33.8°, rel. 28
- 42.4°, rel. 78
- 44.6°, rel. 42

Entry 6:
Computed powder XRD pattern
Compound: CsMg14BO16
Radiation: Cu Kα (weighted mean of Kα1 and Kα2)
Structure: a structure optimized by DFT (PBE)
Neutral-atom scattering factors, no anomalous dispersion.

Structural model:
```
CsMg14BO16
1.0
4.657 0.000 0.000
0.000 8.204 0.000
0.000 0.000 9.081
Cs Mg B O
1 14 1 16
Direct
0.000 0.000 0.000
0.000 0.000 0.500
0.000 0.255 0.271
0.000 0.255 0.729
0.000 0.500 0.500
0.000 0.745 0.271
0.000 0.745 0.729
0.500 0.000 0.261
0.500 0.000 0.739
0.500 0.252 0.500
0.500 0.260 0.000
0.500 0.500 0.247
0.500 0.500 0.753
0.500 0.740 0.000
0.500 0.748 0.500
0.000 0.500 0.000
0.000 0.000 0.285
0.000 0.000 0.715
0.000 0.253 0.500
0.000 0.338 0.000
0.000 0.500 0.272
0.000 0.500 0.728
0.000 0.662 0.000
0.000 0.747 0.500
0.500 0.000 0.000
0.500 0.000 0.500
0.500 0.249 0.246
0.500 0.249 0.754
0.500 0.500 0.000
0.500 0.500 0.500
0.500 0.751 0.246
0.500 0.751 0.754
```

Most intense lines, 2θ from 15° to 90°, by angle:
- 24.1°, rel. 28
- 29.5°, rel. 28
- 35.2°, rel. 56
- 38.7°, rel. 100
- 39.7°, rel. 84
- 44.2°, rel. 57
- 56.6°, rel. 52
- 60.1°, rel. 41
- 60.9°, rel. 36
- 74.5°, rel. 38

Entry 7:
Computed powder XRD pattern
Compound: CsMg6BO7
Radiation: Cu Kα (weighted mean of Kα1 and Kα2)
Structure: a structure optimized by DFT (PBE)
Neutral-atom scattering factors, no anomalous dispersion.

Structural model:
```
CsMg6BO7
1.0
4.931 0.000 0.000
0.000 4.931 0.000
0.000 0.000 8.234
Cs Mg B O
1 6 1 7
Direct
0.000 0.000 0.000
0.000 0.500 0.219
0.000 0.500 0.688
0.500 0.000 0.219
0.500 0.000 0.688
0.500 0.500 0.455
0.500 0.500 0.933
0.000 0.000 0.473
0.000 0.000 0.314
0.000 0.000 0.632
0.000 0.500 0.454
0.000 0.500 0.927
0.500 0.000 0.454
0.500 0.000 0.927
0.500 0.500 0.693
```

Most intense lines, 2θ from 15° to 90°, by angle:
- 18.0°, rel. 39
- 21.0°, rel. 61
- 27.8°, rel. 29
- 28.2°, rel. 24
- 33.7°, rel. 53
- 36.4°, rel. 100
- 37.5°, rel. 24
- 42.4°, rel. 20
- 52.5°, rel. 31
- 58.4°, rel. 20

Entry 8:
Computed powder XRD pattern
Compound: CsMg6BO7
Radiation: Cu Kα (weighted mean of Kα1 and Kα2)
Structure: a structure optimized by DFT (PBE)
Neutral-atom scattering factors, no anomalous dispersion.

Structural model:
```
CsMg6BO7
1.0
4.876 0.000 0.000
0.000 4.876 0.000
0.000 0.000 7.931
Cs Mg B O
1 6 1 7
Direct
0.000 0.000 0.000
0.000 0.500 0.187
0.000 0.500 0.663
0.500 0.000 0.187
0.500 0.000 0.663
0.500 0.500 0.422
0.500 0.500 0.916
0.000 0.000 0.431
0.000 0.000 0.602
0.000 0.500 0.422
0.000 0.500 0.914
0.500 0.000 0.422
0.500 0.000 0.914
0.500 0.500 0.168
0.500 0.500 0.670
```

Most intense lines, 2θ from 15° to 90°, by angle:
- 21.4°, rel. 56
- 28.2°, rel. 33
- 29.0°, rel. 41
- 34.5°, rel. 46
- 36.9°, rel. 100
- 38.7°, rel. 19
- 43.0°, rel. 19
- 47.6°, rel. 19
- 53.1°, rel. 31
- 54.5°, rel. 18